Entry 1:
For NaSnAsCO7, a DFT-relaxed cell (PBE, Alexandria) gives the computed powder XRD pattern in this record (copper Kα).

Cell and atoms:
Cell lengths 5.424, 6.810, 9.677 Å; angles 90.00, 90.23, 90.00 degrees
Space group P2_1 (No. 4)
Asymmetric unit:
Na 0.181 0.000 0.343 (multiplicity 2)
Sn 0.231 0.235 0.844 (multiplicity 2)
As 0.277 0.739 0.931 (multiplicity 2)
C 0.338 0.245 0.587 (multiplicity 2)
O 0.105 0.240 0.636 (multiplicity 2)
O 0.129 0.745 0.088 (multiplicity 2)
O 0.191 0.542 0.831 (multiplicity 2)
O 0.214 0.934 0.826 (multiplicity 2)
O 0.391 0.233 0.463 (multiplicity 2)
O 0.410 0.227 0.032 (multiplicity 2)
O 0.496 0.762 0.310 (multiplicity 2)

Most intense lines, 15 to 90 degrees two-theta, low angle first:
d [Å]  2θ (°)  intensity  (hkl)
5.569  15.91  64  0 1 1
4.731  18.76  100  1 0 1
3.613  24.64  90  1 0 -2
3.405  26.17  64  0 2 0
3.212  27.78  28  0 2 1
3.186  28.00  24  1 1 2
2.764  32.39  43  1 2 1
2.712  33.03  25  2 0 0
2.564  35.00  29  1 1 3
2.072  43.68  22  2 2 -1

=====

Entry 2:
For Na3SnAsCO7, a DFT-relaxed cell (PBE, Alexandria) gives the computed powder XRD pattern in this record (copper Kα).

Cell and atoms:
Cell lengths 5.646, 7.309, 9.736 Å; angles 90.00, 97.78, 90.00 degrees
Space group P2_1/m (No. 11)
Asymmetric unit:
Na 0.215 0.013 0.263 (multiplicity 4)
Na 0.246 0.750 0.911 (multiplicity 2)
Sn 0.243 0.250 0.659 (multiplicity 2)
As 0.275 0.750 0.603 (multiplicity 2)
C 0.212 0.250 0.954 (multiplicity 2)
O 0.035 0.250 0.848 (multiplicity 2)
O 0.149 0.750 0.429 (multiplicity 2)
O 0.160 0.250 0.078 (multiplicity 2)
O 0.180 0.567 0.694 (multiplicity 4)
O 0.422 0.250 0.388 (multiplicity 2)
O 0.429 0.250 0.925 (multiplicity 2)

Most intense lines, 15 to 90 degrees two-theta, low angle first:
d [Å]  2θ (°)  intensity  (hkl)
5.151  17.21  55  1 0 -1
4.578  19.39  57  1 0 1
3.654  24.36  100  0 2 0
3.430  25.97  44  1 0 2
3.215  27.75  40  0 0 3
2.981  29.98  47  1 2 -1
2.856  31.32  67  1 2 1
2.796  32.01  69  2 0 0
2.013  45.04  36  0 2 4
1.827  49.90  30  0 4 0

=====

> Which formula does entry 1 have?

NaSnAsCO7